The following is a calculated powder diffractogram of Na2In5Pb2. It was derived from the PBE geometry in Alexandria, using Cu Kα, 1.54184 Å.

Atomic structure:
Cell lengths 6.6693, 6.7082, 6.9353 Å; angles 76.26, 86.94, 60.35 degrees
Space group P-1 (No. 2)
One atom of each set of equivalent atoms:
Na 0.0625 0.2238 0.1634 [2 per cell]
In 0.3494 0.8595 0.5992 [2 per cell]
In 0.3876 0.2175 0.7864 [2 per cell]
In 0.5000 0.5000 0.0000 [1 per cell]
Pb 0.1355 0.6405 0.3555 [2 per cell]

Peak list (8 most intense, 2θ = 10–90°, in order of rising 2θ)
2θ/deg, Rel. int.
13.2, 514
22.9, 383
32.0, 931
32.3, 736
32.8, 908
33.2, 1000
36.2, 748
42.4, 440